No. 1
For Ba2Tl6InCu, a GGA-PBE-relaxed structure gives the calculated X-ray powder pattern in this record (Cu Kα, 1.54184 Å).
No peak broadening, texture or thermal motion is included.

```
data_Ba2Tl6InCu
_chemical_formula_sum 'Ba4 Tl12 In2 Cu2'
_cell_length_a 13.9872
_cell_length_b 13.9872
_cell_length_c 13.9872
_cell_angle_alpha 31.33
_cell_angle_beta 31.33
_cell_angle_gamma 31.33
_symmetry_space_group_name_H-M 'P 1'
_symmetry_Int_Tables_number 1
loop_
_symmetry_equiv_pos_as_xyz
'x,y,z'
loop_
_atom_site_label
_atom_site_fract_x
_atom_site_fract_y
_atom_site_fract_z
_atom_site_occupancy
Ba1 0.1078 0.1078 0.1078 1
Ba2 0.2793 0.2793 0.2793 1
Ba3 0.7207 0.7207 0.7207 1
Ba4 0.8922 0.8922 0.8922 1
Tl1 0.0893 0.6605 0.6605 1
Tl2 0.2153 0.2153 0.6619 1
Tl3 0.2153 0.6619 0.2153 1
Tl4 0.3381 0.7847 0.7847 1
Tl5 0.3395 0.3395 0.9107 1
Tl6 0.3395 0.9107 0.3395 1
Tl7 0.6605 0.0893 0.6605 1
Tl8 0.6605 0.6605 0.0893 1
Tl9 0.6619 0.2153 0.2153 1
Tl10 0.7847 0.3381 0.7847 1
Tl11 0.7847 0.7847 0.3381 1
Tl12 0.9107 0.3395 0.3395 1
In1 0.4255 0.4255 0.4255 1
In2 0.5745 0.5745 0.5745 1
Cu1 0.0000 0.0000 0.0000 1
Cu2 0.5000 0.5000 0.5000 1
```

Most intense lines, 5 to 70 degrees two-theta, in order of rising 2θ:
2θ = 27.63°, d 3.228, I 238; 2θ = 28.15°, d 3.170, I 237; 2θ = 29.52°, d 3.026, I 730; 2θ = 31.54°, d 2.837, I 1000; 2θ = 32.24°, d 2.777, I 249; 2θ = 36.62°, d 2.454, I 276; 2θ = 42.04°, d 2.149, I 219; 2θ = 48.18°, d 1.889, I 435

***

No. 2
For CeMgInSn, a GGA-PBE-relaxed structure gives the calculated X-ray powder pattern in this record (Cu Kα, 1.54184 Å).
No peak broadening, texture or thermal motion is included.

```
data_CeMgInSn
_chemical_formula_sum 'Ce1 Mg1 In1 Sn1'
_cell_length_a 4.5172
_cell_length_b 4.6740
_cell_length_c 4.8428
_cell_angle_alpha 90.00
_cell_angle_beta 90.00
_cell_angle_gamma 90.00
_symmetry_space_group_name_H-M 'P 1'
_symmetry_Int_Tables_number 1
loop_
_symmetry_equiv_pos_as_xyz
'x,y,z'
loop_
_atom_site_label
_atom_site_fract_x
_atom_site_fract_y
_atom_site_fract_z
_atom_site_occupancy
Ce1 0.0000 0.0000 0.0000 1
Mg1 0.0000 0.5000 0.5000 1
In1 0.5000 0.0000 0.5000 1
Sn1 0.5000 0.5000 0.0000 1
```

Most intense lines, 5 to 70 degrees two-theta, in order of rising 2θ:
2θ = 33.21°, d 2.698, I 1000; 2θ = 37.13°, d 2.421, I 185; 2θ = 38.52°, d 2.337, I 167; 2θ = 39.92°, d 2.259, I 151; 2θ = 54.58°, d 1.682, I 121; 2θ = 64.46°, d 1.446, I 146; 2θ = 66.34°, d 1.409, I 134; 2θ = 68.25°, d 1.374, I 123